Record 1
Calculated PXRD pattern of La3NiCl3 for Cu Ka, from a crystal structure in Alexandria, relaxed with GGA-PBE.
No peak broadening, texture or thermal motion is included.

Structure:
Unit cell a=10.2774 b=10.2774 c=10.2774 alpha=109.47 beta=109.47 gamma=109.47
Fractional positions:
La: 0.0112 0.0224 0.2612
La: 0.0112 0.4888 0.7500
La: 0.0224 0.2612 0.0112
La: 0.2388 0.2612 0.7500
La: 0.2388 0.4776 0.4888
La: 0.2612 0.0112 0.0224
La: 0.2612 0.7500 0.2388
La: 0.4776 0.4888 0.2388
La: 0.4888 0.2388 0.4776
La: 0.4888 0.7500 0.0112
La: 0.7500 0.0112 0.4888
La: 0.7500 0.2388 0.2612
Ni: 0.0000 0.2500 0.5000
Ni: 0.2500 0.2500 0.2500
Ni: 0.2500 0.5000 0.0000
Ni: 0.5000 0.0000 0.2500
Cl: 0.2500 0.7527 0.7473
Cl: 0.2500 0.9973 0.5027
Cl: 0.5027 0.2500 0.9973
Cl: 0.5027 0.7527 0.5053
Cl: 0.5053 0.5027 0.7527
Cl: 0.7473 0.2500 0.7527
Cl: 0.7473 0.9973 0.9947
Cl: 0.7527 0.5053 0.5027
Cl: 0.7527 0.7473 0.2500
Cl: 0.9947 0.7473 0.9973
Cl: 0.9973 0.5027 0.2500
Cl: 0.9973 0.9947 0.7473

Top 8 peaks for 2θ = 10–90°, low angle first:
2θ = 10.5°, I 68
2θ = 26.0°, I 29
2θ = 30.1°, I 100
2θ = 38.7°, I 16
2θ = 43.1°, I 70
2θ = 53.5°, I 23
2θ = 71.0°, I 27
2θ = 79.1°, I 19

=====

Record 2
Calculated PXRD pattern of AcMg10Pd3 for Cu Ka, from a crystal structure in Alexandria, relaxed with GGA-PBE.
No peak broadening, texture or thermal motion is included.

Structure:
Unit cell a=9.7398 b=9.7398 c=9.7398 alpha=60.00 beta=60.00 gamma=60.00
Fractional positions:
Ac: 0.2500 0.2500 0.2500
Ac: 0.7500 0.7500 0.7500
Mg: 0.0000 0.0000 0.3363
Mg: 0.0000 0.0000 0.6637
Mg: 0.0000 0.3363 0.0000
Mg: 0.0000 0.3363 0.6637
Mg: 0.0000 0.6637 0.0000
Mg: 0.0000 0.6637 0.3363
Mg: 0.1721 0.6093 0.6093
Mg: 0.3363 0.0000 0.0000
Mg: 0.3363 0.0000 0.6637
Mg: 0.3363 0.6637 0.0000
Mg: 0.3907 0.3907 0.3907
Mg: 0.3907 0.3907 0.8279
Mg: 0.3907 0.8279 0.3907
Mg: 0.6093 0.1721 0.6093
Mg: 0.6093 0.6093 0.1721
Mg: 0.6093 0.6093 0.6093
Mg: 0.6637 0.0000 0.0000
Mg: 0.6637 0.0000 0.3363
Mg: 0.6637 0.3363 0.0000
Mg: 0.8279 0.3907 0.3907
Pd: 0.2673 0.2673 0.7327
Pd: 0.2673 0.7327 0.2673
Pd: 0.2673 0.7327 0.7327
Pd: 0.7327 0.2673 0.2673
Pd: 0.7327 0.2673 0.7327
Pd: 0.7327 0.7327 0.2673

Top 8 peaks for 2θ = 10–90°, low angle first:
2θ = 22.4°, I 100
2θ = 25.9°, I 42
2θ = 29.0°, I 20
2θ = 36.9°, I 56
2θ = 43.6°, I 66
2θ = 58.4°, I 22
2θ = 66.5°, I 20
2θ = 82.9°, I 17

=====

Record 3
Calculated PXRD pattern of Ca2PbAuO5 for Cu Ka, from a crystal structure in Alexandria, relaxed with GGA-PBE.
No peak broadening, texture or thermal motion is included.

Structure:
Unit cell a=7.8498 b=7.8498 c=10.8635 alpha=90.00 beta=90.00 gamma=155.75
Fractional positions:
Ca: 0.0512 0.9488 0.5000
Ca: 0.1354 0.8646 0.1840
Ca: 0.8646 0.1354 0.6840
Ca: 0.9488 0.0512 0.0000
Pb: 0.2355 0.7645 0.9125
Pb: 0.7645 0.2355 0.4125
Au: 0.4466 0.5534 0.2774
Au: 0.5534 0.4466 0.7774
O: 0.0839 0.9161 0.8974
O: 0.2705 0.7295 0.2814
O: 0.2826 0.7174 0.5522
O: 0.3775 0.6225 0.8840
O: 0.4782 0.5218 0.6196
O: 0.5218 0.4782 0.1196
O: 0.6225 0.3775 0.3840
O: 0.7174 0.2826 0.0522
O: 0.7295 0.2705 0.7814
O: 0.9161 0.0839 0.3974

Top 8 peaks for 2θ = 10–90°, low angle first:
2θ = 16.3°, I 79
2θ = 20.0°, I 90
2θ = 32.3°, I 63
2θ = 33.4°, I 100
2θ = 35.1°, I 66
2θ = 37.3°, I 74
2θ = 47.6°, I 53
2θ = 50.7°, I 49

=====

Record 4
Calculated PXRD pattern of Nd3ErSc2 for Cu Ka, from a crystal structure in Alexandria, relaxed with GGA-PBE.
No peak broadening, texture or thermal motion is included.

Structure:
Unit cell a=8.7563 b=8.7563 c=5.5254 alpha=90.00 beta=90.00 gamma=67.76
Fractional positions:
Nd: 0.0914 0.9086 0.7500
Nd: 0.1109 0.3798 0.2500
Nd: 0.3798 0.1109 0.7500
Nd: 0.6202 0.8891 0.2500
Nd: 0.8891 0.6202 0.7500
Nd: 0.9086 0.0914 0.2500
Er: 0.2799 0.7201 0.2500
Er: 0.7201 0.2799 0.7500
Sc: 0.3038 0.4903 0.7500
Sc: 0.4903 0.3038 0.2500
Sc: 0.5097 0.6962 0.7500
Sc: 0.6962 0.5097 0.2500

Top 8 peaks for 2θ = 10–90°, low angle first:
2θ = 24.3°, I 65
2θ = 24.5°, I 55
2θ = 32.4°, I 48
2θ = 32.5°, I 51
2θ = 34.8°, I 100
2θ = 41.0°, I 29
2θ = 56.5°, I 16
2θ = 59.4°, I 22

=====

Record 5
Calculated PXRD pattern of CdSbP2 for Cu Ka, from a crystal structure in Alexandria, relaxed with GGA-PBE.
No peak broadening, texture or thermal motion is included.

Structure:
Unit cell a=3.7968 b=3.7968 c=6.3096 alpha=90.00 beta=90.00 gamma=90.00
Fractional positions:
Cd: 0.0000 0.0000 0.0000
Sb: 0.5000 0.5000 0.4893
P: 0.0000 0.0000 0.5780
P: 0.5000 0.5000 0.0874

Top 8 peaks for 2θ = 10–90°, low angle first:
2θ = 27.4°, I 100
2θ = 28.3°, I 49
2θ = 33.4°, I 77
2θ = 44.3°, I 56
2θ = 47.9°, I 27
2θ = 49.5°, I 34
2θ = 56.1°, I 27
2θ = 56.6°, I 26

=====

Record 6
Calculated PXRD pattern of HoIn2PbS4 for Cu Ka, from a crystal structure in Alexandria, relaxed with GGA-PBE.
No peak broadening, texture or thermal motion is included.

Structure:
Unit cell a=7.2376 b=3.9989 c=7.3491 alpha=90.00 beta=107.94 gamma=90.00
Fractional positions:
Ho: 0.0000 0.0000 0.0000
In: 0.5000 0.0000 0.5000
In: 0.5000 0.5000 0.0000
Pb: 0.0000 0.5000 0.5000
S: 0.2226 0.5000 0.2134
S: 0.2461 0.0000 0.7777
S: 0.7539 0.0000 0.2223
S: 0.7774 0.5000 0.7866

Top 8 peaks for 2θ = 10–90°, low angle first:
2θ = 25.5°, I 33
2θ = 25.9°, I 31
2θ = 26.9°, I 56
2θ = 30.3°, I 51
2θ = 30.6°, I 100
2θ = 42.1°, I 20
2θ = 43.3°, I 37
2θ = 43.8°, I 37